LiPm4Te5: theoretical powder XRD pattern (a wavelength of 1.5418 Å), based on a GGA-PBE-relaxed structure.
Lines closer than 0.1° are merged.

Principal peaks in the range 2θ from 10° to 80°, low angle first:
- 28.5°, rel. 100, (0 0 2)
- 40.7°, rel. 75, (3 1 2)
- 50.4°, rel. 26, (2 4 2)
- 59.0°, rel. 8, (6 2 0)
- 66.6°, rel. 12, (3 1 4)
- 66.8°, rel. 21, (6 2 2)
- 74.0°, rel. 8, (2 4 4)
- 74.1°, rel. 16, (5 5 2)

Structure:
```
data_LiPm4Te5
_chemical_formula_sum 'Li2 Pm8 Te10'
_space_group_name_H-M_alt 'I 4'
_space_group_IT_number 79
_space_group_name_Hall 'I 4'
_cell_length_a 9.9031
_cell_length_b 9.9031
_cell_length_c 6.2810
_cell_angle_alpha 90.00
_cell_angle_beta 90.00
_cell_angle_gamma 90.00
loop_
_atom_site_label
_atom_site_type_symbol
_atom_site_fract_x
_atom_site_fract_y
_atom_site_fract_z
_atom_site_occupancy
Li1 Li 0.0000 0.0000 0.0000 1
Pm1 Pm 0.0964 0.6974 0.4722 1
Te1 Te 0.0000 0.0000 0.4765 1
Te2 Te 0.0962 0.7131 0.9721 1
```

LiPm3Tl2: theoretical powder XRD pattern (a wavelength of 1.5418 Å), based on a GGA-PBE-relaxed structure.
Lines closer than 0.1° are merged.

Principal peaks in the range 2θ from 10° to 80°, low angle first:
- 26.8°, rel. 52, (2 0 0)
- 27.2°, rel. 53, (0 0 2)
- 29.1°, rel. 72, (2 2 0)
- 34.8°, rel. 72, (2 4 0)
- 35.2°, rel. 72, (0 4 2)
- 38.4°, rel. 75, (1 6 1)
- 38.6°, rel. 100, (2 0 2)
- 55.3°, rel. 41, (4 0 0)

Structure:
```
data_LiPm3Tl2
_chemical_formula_sum 'Li4 Pm12 Tl8'
_space_group_name_H-M_alt 'I b a m'
_space_group_IT_number 72
_space_group_name_Hall '-I 2 2c'
_cell_length_a 6.6503
_cell_length_b 16.2833
_cell_length_c 6.5543
_cell_angle_alpha 90.00
_cell_angle_beta 90.00
_cell_angle_gamma 90.00
loop_
_atom_site_label
_atom_site_type_symbol
_atom_site_fract_x
_atom_site_fract_y
_atom_site_fract_z
_atom_site_occupancy
Li1 Li 0.0000 0.0000 0.2500 1
Pm1 Pm 0.0000 0.5000 0.2500 1
Pm2 Pm 0.2314 0.1773 0.0000 1
Tl1 Tl 0.2380 0.1295 0.5000 1
```

LiPmTl6: theoretical powder XRD pattern (a wavelength of 1.5418 Å), based on a GGA-PBE-relaxed structure.
Lines closer than 0.1° are merged.

Principal peaks in the range 2θ from 10° to 80°, low angle first:
- 32.3°, rel. 100, (2 2 1)
- 37.3°, rel. 17, (0 0 2)
- 37.6°, rel. 17, (0 4 0)
- 37.7°, rel. 17, (4 0 0)
- 54.0°, rel. 24, (0 4 2)
- 64.1°, rel. 14, (2 2 3)
- 64.6°, rel. 14, (2 6 1)
- 64.7°, rel. 14, (6 2 1)

Structure:
```
data_LiPmTl6
_chemical_formula_sum 'Li2 Pm2 Tl12'
_space_group_name_H-M_alt 'C m m m'
_space_group_IT_number 65
_space_group_name_Hall '-C 2 2'
_cell_length_a 9.5430
_cell_length_b 9.5695
_cell_length_c 4.8246
_cell_angle_alpha 90.00
_cell_angle_beta 90.00
_cell_angle_gamma 90.00
loop_
_atom_site_label
_atom_site_type_symbol
_atom_site_fract_x
_atom_site_fract_y
_atom_site_fract_z
_atom_site_occupancy
Li1 Li 0.0000 0.0000 0.0000 1
Pm1 Pm 0.0000 0.5000 0.0000 1
Tl1 Tl 0.0000 0.2466 0.5000 1
Tl2 Tl 0.2450 0.0000 0.5000 1
Tl3 Tl 0.2500 0.2500 0.0000 1
```

LiPm6Tl2: theoretical powder XRD pattern (a wavelength of 1.5418 Å), based on a GGA-PBE-relaxed structure.
Lines closer than 0.1° are merged.

Principal peaks in the range 2θ from 10° to 80°, low angle first:
- 12.8°, rel. 10, (1 1 0)
- 20.7°, rel. 33, (1 1 -1)
- 24.3°, rel. 16, (2 0 1)
- 33.8°, rel. 100, (2 2 1)
- 34.6°, rel. 47, (2 0 -2)
- 59.9°, rel. 20, (2 4 -2)
- 61.6°, rel. 18, (0 2 3)
- 71.1°, rel. 12, (4 4 2)

Structure:
```
data_LiPm6Tl2
_chemical_formula_sum 'Li2 Pm12 Tl4'
_space_group_name_H-M_alt 'C 1 2/m 1'
_space_group_IT_number 12
_space_group_name_Hall '-C 2y'
_cell_length_a 16.3785
_cell_length_b 7.6917
_cell_length_c 5.1721
_cell_angle_alpha 90.00
_cell_angle_beta 108.29
_cell_angle_gamma 90.00
loop_
_atom_site_label
_atom_site_type_symbol
_atom_site_fract_x
_atom_site_fract_y
_atom_site_fract_z
_atom_site_occupancy
Li1 Li 0.0000 0.0000 0.0000 1
Pm1 Pm 0.0000 0.2463 0.5000 1
Pm2 Pm 0.1640 0.2476 0.1638 1
Tl1 Tl 0.1656 0.5000 0.6654 1
```